Theoretical powder XRD pattern of KInH8C4O12 for λ = 1.5418 Å (Cu Kα), from a cell relaxed with GGA-PBE.
Lines closer than 0.1° are merged.

Most intense lines, 15° ≤ 2θ ≤ 90°, by intensity:
(2 0 0), 15.73°, rel. 100
(3 0 1), 25.70°, rel. 62
(1 1 2), 22.67°, rel. 61
(3 1 2), 32.03°, rel. 46
(1 5 2), 45.74°, rel. 43
(4 0 0), 31.78°, rel. 41
(3 3 2), 39.39°, rel. 37
(3 0 3), 38.37°, rel. 23
(5 3 2), 51.47°, rel. 20
(5 5 2), 61.77°, rel. 17

Crystal structure
Unit cell a=11.264 b=11.264 c=9.012 alpha=90.00 beta=90.00 gamma=90.00
Space group I4_1/a (No. 88, origin choice 2)
One atom of each set of equivalent atoms:
K 0.000 0.250 0.125 (multiplicity 4)
In 0.000 0.250 0.625 (multiplicity 4)
H 0.096 0.495 0.849 (multiplicity 16)
H 0.175 0.004 0.006 (multiplicity 16)
C 0.004 0.023 0.420 (multiplicity 16)
O 0.006 0.445 0.683 (multiplicity 16)
O 0.007 0.133 0.402 (multiplicity 16)
O 0.156 0.045 0.101 (multiplicity 16)